This entry pairs a crystal structure of Li4Ag7Sn with its simulated PXRD pattern. Radiation: Cu Kα, 1.54184 Å. Structure: a cell relaxed with PBE.
No peak broadening, texture or thermal motion is included.

Top 12 peaks for 15° ≤ 2θ ≤ 90°, low angle first:
- 4.364 Å, intensity 100
- 3.608 Å, intensity 56
- 2.780 Å, intensity 20
- 2.585 Å, intensity 18
- 2.557 Å, intensity 71
- 2.511 Å, intensity 96
- 2.223 Å, intensity 55
- 2.206 Å, intensity 33
- 2.193 Å, intensity 56
- 2.014 Å, intensity 17
- 1.792 Å, intensity 68
- 1.395 Å, intensity 21

Structure:
```
Li4Ag7Sn
1.0
5.2432 -2.5568 0.0000
5.2432 2.5568 0.0000
-5.2253 0.0000 8.7284
Li Ag Sn
4 7 1
Cartesian
-0.7565 0.0000 2.7415
2.2861 0.0000 1.9990
2.9749 0.0000 6.7295
6.0175 0.0000 5.9869
0.0000 0.0000 0.0000
-1.5545 0.0000 5.3717
-2.6056 0.0000 7.9637
1.2066 0.0000 4.6285
4.0544 0.0000 4.0999
7.8666 0.0000 0.7648
6.8155 0.0000 3.3567
5.2432 0.0000 0.0000
```

---

This entry pairs a crystal structure of Li17Ag3Sn6 with its simulated PXRD pattern. Radiation: Cu Kα, 1.54184 Å. Structure: a cell relaxed with PBE.
No peak broadening, texture or thermal motion is included.

Top 12 peaks for 15° ≤ 2θ ≤ 90°, low angle first:
- 5.385 Å, intensity 20
- 4.237 Å, intensity 71
- 3.637 Å, intensity 100
- 3.225 Å, intensity 21
- 2.325 Å, intensity 53
- 2.312 Å, intensity 39
- 2.038 Å, intensity 57
- 1.959 Å, intensity 17
- 1.640 Å, intensity 13
- 1.566 Å, intensity 24
- 1.498 Å, intensity 14
- 1.207 Å, intensity 13

Structure:
```
Li17Ag3Sn6
1.0
8.0535 0.0000 0.0000
-4.0268 6.9745 0.0000
0.0000 0.0000 8.4742
Li Ag Sn
17 3 6
Cartesian
0.0000 0.0000 0.0839
-1.2127 2.1004 4.2305
-1.2572 2.1776 6.9169
-2.6051 4.5122 0.0000
-2.6495 4.5890 2.7186
2.4253 0.0000 4.2305
2.5145 0.0000 6.9169
0.0000 4.6497 4.2505
0.0000 4.6497 7.0224
1.3773 2.3855 2.7186
1.4216 2.4623 0.0000
5.2103 0.0000 0.0000
5.2989 0.0000 2.7186
4.0268 2.3248 4.2505
4.0268 2.3248 7.0224
2.7695 4.7969 6.9169
2.8141 4.8742 4.2305
0.0000 0.0000 5.6617
0.0000 4.6497 1.3955
4.0268 2.3248 1.3955
-1.2593 2.1812 1.3423
-2.6038 4.5100 5.6152
2.5187 0.0000 1.3423
1.4229 2.4646 5.6152
5.2077 0.0000 5.6152
2.7674 4.7933 1.3423
```

---

This entry pairs a crystal structure of Li2Ag7Sn with its simulated PXRD pattern. Radiation: Cu Kα, 1.54184 Å. Structure: a cell relaxed with PBE.
No peak broadening, texture or thermal motion is included.

Top 12 peaks for 15° ≤ 2θ ≤ 90°, low angle first:
- 4.505 Å, intensity 13
- 3.744 Å, intensity 19
- 3.700 Å, intensity 31
- 2.881 Å, intensity 59
- 2.631 Å, intensity 51
- 2.451 Å, intensity 56
- 2.253 Å, intensity 34
- 2.153 Å, intensity 100
- 1.659 Å, intensity 33
- 1.281 Å, intensity 18
- 1.247 Å, intensity 14
- 1.203 Å, intensity 14

Structure:
```
Li2Ag7Sn
1.0
3.7471 -6.4817 0.0000
3.7471 6.4817 0.0000
0.0000 0.0000 4.5053
Li Ag Sn
2 7 1
Cartesian
3.7471 3.9109 0.0000
3.7471 -3.9109 0.0000
0.0000 0.0000 0.0000
2.3427 1.5287 0.0000
3.7471 2.7993 2.2526
2.3427 -1.5287 0.0000
5.1515 1.5287 0.0000
3.7471 -2.7993 2.2526
5.1515 -1.5287 0.0000
3.7471 0.0000 2.2526
```

---

This entry pairs a crystal structure of Li2Ag4Sn3 with its simulated PXRD pattern. Radiation: Cu Kα, 1.54184 Å. Structure: a cell relaxed with PBE.
No peak broadening, texture or thermal motion is included.

Top 12 peaks for 15° ≤ 2θ ≤ 90°, low angle first:
- 4.595 Å, intensity 24
- 3.712 Å, intensity 23
- 3.667 Å, intensity 29
- 2.517 Å, intensity 100
- 2.479 Å, intensity 96
- 2.454 Å, intensity 90
- 2.445 Å, intensity 90
- 2.186 Å, intensity 71
- 2.158 Å, intensity 64
- 2.085 Å, intensity 59
- 1.297 Å, intensity 24
- 1.294 Å, intensity 24

Structure:
```
Li2Ag4Sn3
1.0
4.3168 0.0000 0.0000
2.0915 4.7673 0.0000
0.0434 2.3853 8.6101
Li Ag Sn
2 4 3
Cartesian
1.0650 1.3460 1.8389
5.3867 5.8066 6.7712
1.1120 2.9326 7.7022
3.1932 3.1451 2.8271
3.2585 4.0075 5.7830
5.3397 4.2200 0.9079
1.0937 2.1321 4.9119
3.2041 2.3836 0.0000
5.3580 5.0205 3.6982
```

---

This entry pairs a crystal structure of Li3Ag2Sn4 with its simulated PXRD pattern. Radiation: Cu Kα, 1.54184 Å. Structure: a cell relaxed with PBE.
No peak broadening, texture or thermal motion is included.

Top 12 peaks for 15° ≤ 2θ ≤ 90°, low angle first:
- 4.744 Å, intensity 20
- 3.800 Å, intensity 63
- 3.123 Å, intensity 34
- 2.515 Å, intensity 100
- 2.395 Å, intensity 98
- 2.138 Å, intensity 15
- 2.026 Å, intensity 12
- 1.734 Å, intensity 33
- 1.488 Å, intensity 11
- 1.478 Å, intensity 17
- 1.405 Å, intensity 22
- 1.383 Å, intensity 18

Structure:
```
Li3Ag2Sn4
1.0
4.1485 -2.3940 0.0000
4.1485 2.3940 0.0000
-0.0172 0.0000 9.4884
Li Ag Sn
3 2 4
Cartesian
0.0000 0.0000 0.0000
2.7542 0.0000 4.1936
5.5257 0.0000 5.2948
2.7592 0.0000 7.0532
5.5206 0.0000 2.4352
-0.0057 0.0000 6.2500
2.7632 0.0000 0.9479
5.5166 0.0000 8.5405
8.2856 0.0000 3.2384
```

---

This entry pairs a crystal structure of LiAg4Sn4 with its simulated PXRD pattern. Radiation: Cu Kα, 1.54184 Å. Structure: a cell relaxed with PBE.
No peak broadening, texture or thermal motion is included.

Top 12 peaks for 15° ≤ 2θ ≤ 90°, low angle first:
- 4.604 Å, intensity 30
- 3.076 Å, intensity 22
- 2.751 Å, intensity 88
- 2.713 Å, intensity 76
- 2.558 Å, intensity 70
- 2.205 Å, intensity 100
- 1.932 Å, intensity 63
- 1.657 Å, intensity 17
- 1.447 Å, intensity 26
- 1.383 Å, intensity 19
- 1.318 Å, intensity 27
- 1.227 Å, intensity 19

Structure:
```
LiAg4Sn4
1.0
-4.3499 4.3499 2.7133
4.3499 -4.3499 2.7133
4.3499 4.3499 -2.7133
Li Ag Sn
1 4 4
Cartesian
0.0000 0.0000 0.0000
3.5728 2.5295 0.0000
1.8204 -0.7771 2.7133
2.5295 5.1269 0.0000
0.7771 1.8204 2.7133
5.7616 0.6097 0.0000
0.6097 2.9381 0.0000
3.7401 1.4117 2.7133
-1.4117 3.7401 2.7133
```

---

This entry pairs a crystal structure of Li3Ag3Sn with its simulated PXRD pattern. Radiation: Cu Kα, 1.54184 Å. Structure: a cell relaxed with PBE.
No peak broadening, texture or thermal motion is included.

Top 12 peaks for 15° ≤ 2θ ≤ 90°, low angle first:
- 3.898 Å, intensity 46
- 3.316 Å, intensity 23
- 2.998 Å, intensity 24
- 2.507 Å, intensity 32
- 2.409 Å, intensity 28
- 2.224 Å, intensity 100
- 2.009 Å, intensity 12
- 1.737 Å, intensity 21
- 1.447 Å, intensity 16
- 1.352 Å, intensity 20
- 1.241 Å, intensity 19
- 1.213 Å, intensity 15

Structure:
```
Li3Ag3Sn
1.0
7.6588 0.0000 0.0000
-3.8294 6.6327 0.0000
0.0000 0.0000 4.8174
Li Ag Sn
6 6 2
Cartesian
-1.0597 3.1137 1.2043
-0.6030 5.9936 1.2043
2.1666 2.4746 3.6130
1.6628 4.1581 1.2043
4.4324 0.6391 3.6130
4.8891 3.5190 3.6130
-0.4811 1.6201 3.6130
-2.1858 6.2393 3.6130
1.1625 1.2267 1.2043
2.6669 5.4060 3.6130
6.0152 0.3934 1.2043
4.3105 5.0126 1.2043
0.0000 4.4218 3.6130
3.8294 2.2109 1.2043
```

---

This entry pairs a crystal structure of Li4Ag2Sn3 with its simulated PXRD pattern. Radiation: Cu Kα, 1.54184 Å. Structure: a cell relaxed with PBE.
No peak broadening, texture or thermal motion is included.

Top 12 peaks for 15° ≤ 2θ ≤ 90°, low angle first:
- 4.196 Å, intensity 100
- 3.992 Å, intensity 65
- 3.804 Å, intensity 75
- 2.849 Å, intensity 54
- 2.677 Å, intensity 34
- 2.580 Å, intensity 97
- 2.447 Å, intensity 69
- 2.348 Å, intensity 73
- 2.323 Å, intensity 66
- 2.278 Å, intensity 63
- 2.254 Å, intensity 70
- 2.138 Å, intensity 30

Structure:
```
Li4Ag2Sn3
1.0
4.9057 0.0000 0.0000
2.4494 4.5283 0.0000
0.5535 1.3876 7.7397
Li Ag Sn
4 2 3
Cartesian
1.5262 1.4411 1.2590
3.9511 4.5555 3.9365
3.9575 1.3604 3.8032
6.3825 4.4749 6.4807
1.4765 1.3306 6.5123
6.4321 4.5853 1.2273
1.5015 2.9580 3.8698
3.9730 3.0176 1.3776
3.9356 2.8984 6.3620
```